Structure and simulated XRD peak list of RbBaDyS3 (a crystal structure in OQMD, relaxed with GGA-PBE; a wavelength of 1.5418 Å).

Crystal structure
```
data_RbBaDyS3
_space_group_name_H-M_alt 'P 1'
_space_group_IT_number 1
_cell_length_a 9.901
_cell_length_b 9.901
_cell_length_c 11.906
_cell_angle_alpha 90.00
_cell_angle_beta 90.00
_cell_angle_gamma 155.56
loop_
_space_group_symop_operation_xyz
'x,y,z'
loop_
_atom_site_label
_atom_site_type_symbol
_atom_site_fract_x
_atom_site_fract_y
_atom_site_fract_z
Rb1 Rb 0.129 0.871 0.750
Rb2 Rb 0.871 0.129 0.250
Ba1 Ba 0.111 0.889 0.250
Ba2 Ba 0.889 0.111 0.750
Dy1 Dy 0.500 0.500 0.000
Dy2 Dy 0.500 0.500 0.500
S1 S 0.094 0.906 0.003
S2 S 0.094 0.906 0.497
S3 S 0.498 0.502 0.750
S4 S 0.502 0.498 0.250
S5 S 0.906 0.094 0.503
S6 S 0.906 0.094 0.997
```

Largest 6 diffraction maxima, in order of rising 2θ, 10 to 90 degrees two-theta:
- 23.7°, intensity 67
- 25.3°, intensity 81
- 26.4°, intensity 70
- 30.0°, intensity 52
- 31.5°, intensity 100
- 44.0°, intensity 59